Pa2Ga2ReSi4: calculated powder XRD pattern (Cu Kα (weighted mean of Kα1 and Kα2)), based on a structure optimized by DFT (GGA-PBE).
No peak broadening, texture or thermal motion is included.

Cell and atoms:
```
data_Pa2Ga2ReSi4
_space_group_name_H-M_alt 'I 4/m m m'
_space_group_IT_number 139
_space_group_name_Hall '-I 4 2'
_cell_length_a 6.0717
_cell_length_b 6.0717
_cell_length_c 8.5340
_cell_angle_alpha 90.00
_cell_angle_beta 90.00
_cell_angle_gamma 90.00
loop_
_atom_site_label
_atom_site_type_symbol
_atom_site_fract_x
_atom_site_fract_y
_atom_site_fract_z
_atom_site_occupancy
Pa1 Pa 0.0000 0.5000 0.2500 1
Ga1 Ga 0.0000 0.0000 0.2086 1
Re1 Re 0.0000 0.0000 0.5000 1
Si1 Si 0.2181 0.2181 0.0000 1
```

Top 10 peaks for 5° ≤ 2θ ≤ 70°, in order of falling intensity:
| Position (°2θ) | Rel. int. | (hkl) |
| --- | --- | --- |
| 29.47 | 100 | 2 0 0 |
| 42.09 | 30 | 2 2 0 |
| 36.32 | 30 | 2 0 2 |
| 52.25 | 21 | 3 1 2 |
| 61.25 | 17 | 2 2 4 |
| 52.42 | 16 | 2 0 4 |
| 69.22 | 15 | 4 2 0 |
| 42.37 | 13 | 0 0 4 |
| 46.22 | 11 | 2 1 3 |
| 61.05 | 10 | 4 0 0 |

=====

PaGaRh4: calculated powder XRD pattern (Cu Kα (weighted mean of Kα1 and Kα2)), based on a structure optimized by DFT (GGA-PBE).
No peak broadening, texture or thermal motion is included.

Cell and atoms:
```
data_PaGaRh4
_space_group_name_H-M_alt 'P -1'
_space_group_IT_number 2
_cell_length_a 5.3711
_cell_length_b 5.3711
_cell_length_c 8.4115
_cell_angle_alpha 71.45
_cell_angle_beta 71.55
_cell_angle_gamma 89.98
loop_
_space_group_symop_operation_xyz
'x,y,z'
'-x,-y,-z'
loop_
_atom_site_label
_atom_site_type_symbol
_atom_site_fract_x
_atom_site_fract_y
_atom_site_fract_z
_atom_site_occupancy
Pa1 Pa 0.2499 0.2496 0.9996 1
Ga1 Ga 0.0000 0.5000 0.5000 1
Ga2 Ga 0.5000 0.0000 0.5000 1
Rh1 Rh 0.0773 0.0765 0.7254 1
Rh2 Rh 0.1990 0.5772 0.7250 1
Rh3 Rh 0.3012 0.3020 0.2747 1
Rh4 Rh 0.4222 0.8019 0.2748 1
```

Top 10 peaks for 5° ≤ 2θ ≤ 70°, in order of falling intensity:
| Position (°2θ) | Rel. int. | (hkl) |
| --- | --- | --- |
| 26.29 | 100 | 1 1 2 |
| 41.29 | 94 | 0 2 3 |
| 37.93 | 39 | 2 -1 0 |
| 48.44 | 38 | 0 0 4 |
| 23.42 | 35 | 1 1 1 |
| 47.90 | 32 | 2 -2 0 |
| 55.46 | 32 | 3 1 1 |
| 41.39 | 31 | 2 0 3 |
| 35.50 | 22 | 2 0 0 |
| 43.21 | 17 | 1 1 -2 |

=====

PaGaRh: calculated powder XRD pattern (Cu Kα (weighted mean of Kα1 and Kα2)), based on a structure optimized by DFT (GGA-PBE).
No peak broadening, texture or thermal motion is included.

Cell and atoms:
```
data_PaGaRh
_space_group_name_H-M_alt 'P m m a'
_space_group_IT_number 51
_cell_length_a 13.0064
_cell_length_b 3.7098
_cell_length_c 7.2921
_cell_angle_alpha 90.00
_cell_angle_beta 90.00
_cell_angle_gamma 90.00
loop_
_space_group_symop_operation_xyz
'x,y,z'
'-x,-y,-z'
'-x+1/2,-y,z'
'x+1/2,y,-z'
'x+1/2,-y,-z'
'-x+1/2,y,z'
'-x,y,-z'
'x,-y,z'
loop_
_atom_site_label
_atom_site_type_symbol
_atom_site_fract_x
_atom_site_fract_y
_atom_site_fract_z
_atom_site_occupancy
Pa1 Pa 0.0480 0.0000 0.2450 1
Pa2 Pa 0.2500 0.0000 0.8515 1
Ga1 Ga 0.1209 0.5000 0.5653 1
Ga2 Ga 0.2500 0.5000 0.1969 1
Rh1 Rh 0.1005 0.5000 0.9276 1
Rh2 Rh 0.2500 0.0000 0.4490 1
```

Top 10 peaks for 5° ≤ 2θ ≤ 70°, in order of falling intensity:
| Position (°2θ) | Rel. int. | (hkl) |
| --- | --- | --- |
| 34.10 | 100 | 3 1 1 |
| 36.74 | 59 | 4 1 0 |
| 37.24 | 39 | 2 1 2 |
| 34.49 | 36 | 0 1 2 |
| 49.12 | 27 | 0 2 0 |
| 42.65 | 25 | 3 0 3 |
| 40.45 | 23 | 3 1 2 |
| 23.88 | 21 | 3 0 1 |
| 37.03 | 19 | 4 0 2 |
| 35.20 | 16 | 1 1 2 |

=====

Pa4GaRh12: calculated powder XRD pattern (Cu Kα (weighted mean of Kα1 and Kα2)), based on a structure optimized by DFT (GGA-PBE).
No peak broadening, texture or thermal motion is included.

Cell and atoms:
```
data_Pa4GaRh12
_space_group_name_H-M_alt 'I m -3 m'
_space_group_IT_number 229
_space_group_name_Hall '-I 4 2 3'
_cell_length_a 8.3104
_cell_length_b 8.3104
_cell_length_c 8.3104
_cell_angle_alpha 90.00
_cell_angle_beta 90.00
_cell_angle_gamma 90.00
loop_
_atom_site_label
_atom_site_type_symbol
_atom_site_fract_x
_atom_site_fract_y
_atom_site_fract_z
_atom_site_occupancy
Pa1 Pa 0.2500 0.2500 0.2500 1
Ga1 Ga 0.0000 0.0000 0.0000 1
Rh1 Rh 0.0000 0.0000 0.2849 1
Rh2 Rh 0.0000 0.2500 0.5000 1
```

Top 10 peaks for 5° ≤ 2θ ≤ 70°, in order of falling intensity:
| Position (°2θ) | Rel. int. | (hkl) |
| --- | --- | --- |
| 37.49 | 100 | 2 2 2 |
| 43.56 | 56 | 4 0 0 |
| 63.30 | 34 | 4 4 0 |
| 30.42 | 22 | 2 2 0 |
| 21.38 | 10 | 2 0 0 |
| 49.02 | 8 | 4 2 0 |
| 54.06 | 7 | 4 2 2 |
| 67.64 | 4 | 4 4 2 |
| 40.62 | 4 | 3 2 1 |
| 51.58 | 4 | 3 3 2 |

=====

Pa3Ga3Ru2Rh: calculated powder XRD pattern (Cu Kα (weighted mean of Kα1 and Kα2)), based on a structure optimized by DFT (GGA-PBE).
No peak broadening, texture or thermal motion is included.

Cell and atoms:
```
data_Pa3Ga3Ru2Rh
_space_group_name_H-M_alt 'P -6 2 m'
_space_group_IT_number 189
_space_group_name_Hall 'P -6 -2'
_cell_length_a 7.0606
_cell_length_b 7.0606
_cell_length_c 3.9641
_cell_angle_alpha 90.00
_cell_angle_beta 90.00
_cell_angle_gamma 120.00
loop_
_atom_site_label
_atom_site_type_symbol
_atom_site_fract_x
_atom_site_fract_y
_atom_site_fract_z
_atom_site_occupancy
Pa1 Pa 0.0000 0.5825 0.0000 1
Ga1 Ga 0.0000 0.2423 0.5000 1
Ru1 Ru 0.3333 0.6667 0.5000 1
Rh1 Rh 0.0000 0.0000 0.0000 1
```

Top 10 peaks for 5° ≤ 2θ ≤ 70°, in order of falling intensity:
| Position (°2θ) | Rel. int. | (hkl) |
| --- | --- | --- |
| 37.14 | 100 | 2 0 1 |
| 34.01 | 95 | 1 1 1 |
| 38.97 | 39 | 2 1 0 |
| 59.26 | 32 | 3 1 1 |
| 29.21 | 25 | 2 0 0 |
| 45.78 | 25 | 0 0 2 |
| 54.08 | 21 | 3 1 0 |
| 61.65 | 20 | 2 1 2 |
| 25.23 | 19 | 1 1 0 |
| 44.45 | 19 | 3 0 0 |

=====

ScPaGa4Rh2: calculated powder XRD pattern (Cu Kα (weighted mean of Kα1 and Kα2)), based on a structure optimized by DFT (GGA-PBE).
No peak broadening, texture or thermal motion is included.

Cell and atoms:
```
data_ScPaGa4Rh2
_space_group_name_H-M_alt 'P 4/m m m'
_space_group_IT_number 123
_space_group_name_Hall '-P 4 2'
_cell_length_a 3.7463
_cell_length_b 3.7463
_cell_length_c 10.8996
_cell_angle_alpha 90.00
_cell_angle_beta 90.00
_cell_angle_gamma 90.00
loop_
_atom_site_label
_atom_site_type_symbol
_atom_site_fract_x
_atom_site_fract_y
_atom_site_fract_z
_atom_site_occupancy
Sc1 Sc 0.0000 0.0000 0.0000 1
Pa1 Pa 0.0000 0.0000 0.5000 1
Ga1 Ga 0.0000 0.5000 0.2046 1
Rh1 Rh 0.5000 0.5000 0.3783 1
```

Top 10 peaks for 5° ≤ 2θ ≤ 70°, in order of falling intensity:
| Position (°2θ) | Rel. int. | (hkl) |
| --- | --- | --- |
| 8.11 | 100 | 0 0 1 |
| 37.76 | 52 | 1 1 2 |
| 34.85 | 41 | 1 1 1 |
| 40.96 | 35 | 1 0 4 |
| 48.61 | 27 | 2 0 0 |
| 28.92 | 26 | 1 0 2 |
| 34.39 | 25 | 1 0 3 |
| 65.39 | 17 | 2 1 4 |
| 48.30 | 11 | 1 0 5 |
| 60.89 | 10 | 2 1 3 |

=====

Pa4Ga16Ru3: calculated powder XRD pattern (Cu Kα (weighted mean of Kα1 and Kα2)), based on a structure optimized by DFT (GGA-PBE).
No peak broadening, texture or thermal motion is included.

Cell and atoms:
```
data_Pa4Ga16Ru3
_space_group_name_H-M_alt 'P 4/m m m'
_space_group_IT_number 123
_space_group_name_Hall '-P 4 2'
_cell_length_a 6.1830
_cell_length_b 6.1830
_cell_length_c 11.1316
_cell_angle_alpha 90.00
_cell_angle_beta 90.00
_cell_angle_gamma 90.00
loop_
_atom_site_label
_atom_site_type_symbol
_atom_site_fract_x
_atom_site_fract_y
_atom_site_fract_z
_atom_site_occupancy
Pa1 Pa 0.0000 0.5000 0.1943 1
Ga1 Ga 0.0000 0.0000 0.1982 1
Ga2 Ga 0.2134 0.2134 0.0000 1
Ga3 Ga 0.2502 0.2502 0.3812 1
Ga4 Ga 0.5000 0.5000 0.2253 1
Ru1 Ru 0.0000 0.5000 0.5000 1
Ru2 Ru 0.5000 0.5000 0.0000 1
```

Top 10 peaks for 5° ≤ 2θ ≤ 70°, in order of falling intensity:
| Position (°2θ) | Rel. int. | (hkl) |
| --- | --- | --- |
| 37.88 | 100 | 2 0 3 |
| 41.30 | 74 | 2 2 0 |
| 31.63 | 47 | 1 1 3 |
| 33.15 | 44 | 2 0 2 |
| 20.31 | 39 | 1 1 0 |
| 59.24 | 29 | 2 2 5 |
| 40.52 | 24 | 0 0 5 |
| 59.83 | 23 | 4 0 0 |
| 43.77 | 20 | 2 0 4 |
| 52.93 | 20 | 3 1 3 |

=====

Pa7Ga2Ru2: calculated powder XRD pattern (Cu Kα (weighted mean of Kα1 and Kα2)), based on a structure optimized by DFT (GGA-PBE).
No peak broadening, texture or thermal motion is included.

Cell and atoms:
```
data_Pa7Ga2Ru2
_space_group_name_H-M_alt 'C m m m'
_space_group_IT_number 65
_space_group_name_Hall '-C 2 2'
_cell_length_a 7.9693
_cell_length_b 10.2073
_cell_length_c 6.5362
_cell_angle_alpha 90.00
_cell_angle_beta 90.00
_cell_angle_gamma 90.00
loop_
_atom_site_label
_atom_site_type_symbol
_atom_site_fract_x
_atom_site_fract_y
_atom_site_fract_z
_atom_site_occupancy
Pa1 Pa 0.0000 0.0000 0.0000 1
Pa2 Pa 0.0000 0.5000 0.2830 1
Pa3 Pa 0.2500 0.2500 0.2894 1
Ga1 Ga 0.1548 0.0000 0.5000 1
Ru1 Ru 0.0000 0.2694 0.0000 1
```

Top 10 peaks for 5° ≤ 2θ ≤ 70°, in order of falling intensity:
| Position (°2θ) | Rel. int. | (hkl) |
| --- | --- | --- |
| 39.83 | 100 | 2 2 2 |
| 28.42 | 98 | 2 2 0 |
| 35.17 | 59 | 0 4 0 |
| 30.84 | 44 | 1 1 2 |
| 45.52 | 32 | 4 0 0 |
| 26.19 | 26 | 2 0 1 |
| 58.80 | 23 | 4 4 0 |
| 51.02 | 21 | 2 2 3 |
| 35.53 | 18 | 2 0 2 |
| 66.22 | 15 | 2 6 2 |

=====

Pa2Ga6Ru: calculated powder XRD pattern (Cu Kα (weighted mean of Kα1 and Kα2)), based on a structure optimized by DFT (GGA-PBE).
No peak broadening, texture or thermal motion is included.

Cell and atoms:
```
data_Pa2Ga6Ru
_space_group_name_H-M_alt 'C 1 2/m 1'
_space_group_IT_number 12
_cell_length_a 8.9511
_cell_length_b 8.4084
_cell_length_c 5.1411
_cell_angle_alpha 90.00
_cell_angle_beta 117.93
_cell_angle_gamma 90.00
loop_
_space_group_symop_operation_xyz
'x,y,z'
'-x,-y,-z'
'-x,y,-z'
'x,-y,z'
'x+1/2,y+1/2,z'
'-x+1/2,-y+1/2,-z'
'-x+1/2,y+1/2,-z'
'x+1/2,-y+1/2,z'
loop_
_atom_site_label
_atom_site_type_symbol
_atom_site_fract_x
_atom_site_fract_y
_atom_site_fract_z
_atom_site_occupancy
Pa1 Pa 0.1640 0.0000 0.2686 1
Ga1 Ga 0.0000 0.3517 0.0000 1
Ga2 Ga 0.1382 0.1968 0.7384 1
Ru1 Ru 0.0000 0.5000 0.5000 1
```

Top 10 peaks for 5° ≤ 2θ ≤ 70°, in order of falling intensity:
| Position (°2θ) | Rel. int. | (hkl) |
| --- | --- | --- |
| 36.58 | 100 | 1 3 -1 |
| 35.69 | 88 | 3 1 0 |
| 30.56 | 62 | 2 2 -1 |
| 20.35 | 58 | 1 1 -1 |
| 42.51 | 57 | 2 2 1 |
| 44.50 | 48 | 4 0 -2 |
| 37.28 | 46 | 1 1 -2 |
| 28.90 | 40 | 1 1 1 |
| 45.96 | 31 | 4 2 -1 |
| 58.38 | 26 | 2 2 -3 |

=====

Pa6Ga3Ru: calculated powder XRD pattern (Cu Kα (weighted mean of Kα1 and Kα2)), based on a structure optimized by DFT (GGA-PBE).
No peak broadening, texture or thermal motion is included.

Cell and atoms:
```
data_Pa6Ga3Ru
_space_group_name_H-M_alt 'R -3 m'
_space_group_IT_number 166
_space_group_name_Hall '-R 3 2"'
_cell_length_a 10.8601
_cell_length_b 10.8601
_cell_length_c 14.1225
_cell_angle_alpha 90.00
_cell_angle_beta 90.00
_cell_angle_gamma 120.00
loop_
_atom_site_label
_atom_site_type_symbol
_atom_site_fract_x
_atom_site_fract_y
_atom_site_fract_z
_atom_site_occupancy
Pa1 Pa 0.1020 0.5510 0.0635 1
Pa2 Pa 0.1067 0.5534 0.7874 1
Ga1 Ga 0.0553 0.5276 0.4089 1
Ru1 Ru 0.0000 0.0000 0.0000 1
Ru2 Ru 0.0000 0.0000 0.5000 1
```

Top 10 peaks for 5° ≤ 2θ ≤ 70°, in order of falling intensity:
| Position (°2θ) | Rel. int. | (hkl) |
| --- | --- | --- |
| 34.37 | 100 | 0 3 3 |
| 35.85 | 32 | 2 1 4 |
| 50.42 | 31 | 3 3 0 |
| 28.47 | 28 | 3 0 0 |
| 19.90 | 19 | 0 2 1 |
| 62.44 | 16 | 6 0 3 |
| 26.97 | 15 | 1 0 4 |
| 34.98 | 13 | 1 3 1 |
| 25.84 | 12 | 2 1 1 |
| 48.36 | 11 | 3 0 6 |

=====

Pa3Ga3Tc2Ru: calculated powder XRD pattern (Cu Kα (weighted mean of Kα1 and Kα2)), based on a structure optimized by DFT (GGA-PBE).
No peak broadening, texture or thermal motion is included.

Cell and atoms:
```
data_Pa3Ga3Tc2Ru
_space_group_name_H-M_alt 'P -6 2 m'
_space_group_IT_number 189
_space_group_name_Hall 'P -6 -2'
_cell_length_a 6.9379
_cell_length_b 6.9379
_cell_length_c 4.0938
_cell_angle_alpha 90.00
_cell_angle_beta 90.00
_cell_angle_gamma 120.00
loop_
_atom_site_label
_atom_site_type_symbol
_atom_site_fract_x
_atom_site_fract_y
_atom_site_fract_z
_atom_site_occupancy
Pa1 Pa 0.0000 0.4196 0.0000 1
Ga1 Ga 0.0000 0.7649 0.5000 1
Tc1 Tc 0.3333 0.6667 0.5000 1
Ru1 Ru 0.0000 0.0000 0.0000 1
```

Top 10 peaks for 5° ≤ 2θ ≤ 70°, in order of falling intensity:
| Position (°2θ) | Rel. int. | (hkl) |
| --- | --- | --- |
| 37.12 | 100 | 2 0 1 |
| 33.87 | 92 | 1 1 1 |
| 39.69 | 37 | 2 1 0 |
| 59.93 | 33 | 3 1 1 |
| 44.25 | 27 | 0 0 2 |
| 29.74 | 26 | 2 0 0 |
| 60.93 | 21 | 2 1 2 |
| 55.11 | 19 | 3 1 0 |
| 25.68 | 18 | 1 1 0 |
| 45.28 | 15 | 3 0 0 |

=====

PaGa2S8: calculated powder XRD pattern (Cu Kα (weighted mean of Kα1 and Kα2)), based on a structure optimized by DFT (GGA-PBE).
No peak broadening, texture or thermal motion is included.

Cell and atoms:
```
data_PaGa2S8
_space_group_name_H-M_alt 'P -3 m 1'
_space_group_IT_number 164
_space_group_name_Hall '-P 3 2"'
_cell_length_a 6.7890
_cell_length_b 6.7890
_cell_length_c 6.7827
_cell_angle_alpha 90.00
_cell_angle_beta 90.00
_cell_angle_gamma 120.00
loop_
_atom_site_label
_atom_site_type_symbol
_atom_site_fract_x
_atom_site_fract_y
_atom_site_fract_z
_atom_site_occupancy
Pa1 Pa 0.0000 0.0000 0.0000 1
Ga1 Ga 0.3333 0.6667 0.5853 1
S1 S 0.1616 0.3233 0.7396 1
S2 S 0.3333 0.6667 0.2569 1
```

Top 10 peaks for 5° ≤ 2θ ≤ 70°, in order of falling intensity:
| Position (°2θ) | Rel. int. | (hkl) |
| --- | --- | --- |
| 19.99 | 100 | 1 0 1 |
| 26.25 | 42 | 1 1 0 |
| 42.83 | 41 | 2 1 1 |
| 33.21 | 38 | 2 0 1 |
| 15.07 | 27 | 1 0 0 |
| 54.04 | 25 | 2 2 0 |
| 40.61 | 24 | 2 0 2 |
| 37.49 | 21 | 1 1 2 |
| 58.20 | 20 | 1 3 1 |
| 30.43 | 19 | 0 1 2 |

=====

> Which formula does entry 11 have?

Pa3Ga3Tc2Ru